# 1
The following is a computed PXRD pattern of In2H4I3. It was derived from a crystal structure in Alexandria, relaxed with PBE, using Cu Kα.

Structure:
```
In2H4I3
1.0
3.410 0.000 0.000
-1.686 8.649 0.000
-0.022 -4.013 8.275
In H I
2 4 3
direct
0.111 0.221 0.378
0.889 0.779 0.622
0.205 0.413 0.361
0.442 0.887 0.653
0.558 0.113 0.347
0.795 0.587 0.639
0.000 0.000 0.000
0.138 0.271 0.708
0.862 0.729 0.292
```

Largest 12 diffraction maxima, in order of rising 2θ, 2θ from 10° to 90°:
two_theta, I/Imax
10.7, 24
11.4, 30
20.6, 95
22.9, 38
26.8, 100
29.3, 50
31.4, 24
32.5, 30
37.1, 43
40.5, 55
42.6, 24
48.9, 24

***

# 2
The following is a computed PXRD pattern of SrAl2WSe. It was derived from a crystal structure in Alexandria, relaxed with PBE, using Cu Kα.

Structure:
```
SrAl2WSe
1.0
5.555 0.000 0.000
0.000 5.555 0.000
0.000 0.000 5.353
Sr Al W Se
1 2 1 1
direct
0.000 0.000 0.000
0.000 0.500 0.000
0.500 0.000 0.000
0.500 0.500 0.500
0.000 0.000 0.500
```

Largest 12 diffraction maxima, in order of rising 2θ, 2θ from 10° to 90°:
two_theta, I/Imax
22.6, 100
23.1, 79
28.2, 70
32.2, 78
33.5, 35
40.0, 38
40.8, 44
46.2, 28
47.2, 53
52.1, 22
58.3, 28
63.3, 24

***

# 3
The following is a computed PXRD pattern of Pr5NdS6. It was derived from a crystal structure in Alexandria, relaxed with PBE, using Cu Kα.

Structure:
```
Pr5NdS6
1.0
3.549 -6.164 0.000
3.549 6.164 0.000
-2.392 0.000 6.679
Pr Nd S
5 1 6
direct
0.000 0.000 0.000
0.167 0.833 0.500
0.333 0.667 0.000
0.667 0.333 0.000
0.833 0.167 0.500
0.500 0.500 0.500
0.086 0.417 0.251
0.252 0.252 0.749
0.417 0.086 0.251
0.583 0.914 0.749
0.748 0.748 0.251
0.914 0.583 0.749
```

Largest 12 diffraction maxima, in order of rising 2θ, 2θ from 10° to 90°:
two_theta, I/Imax
26.6, 37
26.7, 36
30.8, 100
44.1, 12
44.2, 48
44.3, 12
52.3, 24
52.5, 12
54.7, 13
55.0, 13
73.0, 21
81.1, 12